# 1
# SnPt
Computed PXRD pattern, CuKα. Input: DFT lattice parameters and positions (PBE).
Intensities are scaled so that the largest is 1000.

Peak list (8 most intense, 10° ≤ 2θ ≤ 90°, low angle first)
| Position (°2θ) | intensity |
| --- | --- |
| 24.6 | 511 |
| 29.5 | 422 |
| 41.1 | 1000 |
| 43.2 | 670 |
| 61.2 | 316 |
| 77.9 | 322 |
| 79.3 | 119 |
| 84.0 | 210 |

Cell and atoms:
```
SnPt
1.0
4.1847 0.0000 0.0000
-2.0924 3.6241 0.0000
0.0000 0.0000 5.5177
Sn Pt
2 2
Cartesian
0.0000 2.4161 1.3794
2.0924 1.2080 4.1383
0.0000 0.0000 0.0000
0.0000 0.0000 2.7589
```

# 2
# SnPt3
Computed PXRD pattern, CuKα. Input: DFT lattice parameters and positions (PBE).
Intensities are scaled so that the largest is 1000.

Peak list (8 most intense, 10° ≤ 2θ ≤ 90°, low angle first)
| Position (°2θ) | intensity |
| --- | --- |
| 21.9 | 32 |
| 31.1 | 26 |
| 38.3 | 1000 |
| 44.6 | 494 |
| 50.2 | 14 |
| 64.9 | 329 |
| 77.9 | 396 |
| 82.1 | 116 |

Cell and atoms:
```
SnPt3
1.0
4.0658 0.0000 0.0000
0.0000 4.0658 0.0000
0.0000 0.0000 4.0658
Sn Pt
1 3
Cartesian
0.0000 0.0000 0.0000
0.0000 2.0329 2.0329
2.0329 0.0000 2.0329
2.0329 2.0329 0.0000
```

# 3
# Sn3Pt2
Computed PXRD pattern, CuKα. Input: DFT lattice parameters and positions (PBE).
Intensities are scaled so that the largest is 1000.

Peak list (8 most intense, 10° ≤ 2θ ≤ 90°, low angle first)
| Position (°2θ) | intensity |
| --- | --- |
| 23.3 | 280 |
| 24.2 | 397 |
| 27.0 | 384 |
| 35.9 | 513 |
| 40.9 | 1000 |
| 41.6 | 828 |
| 59.7 | 290 |
| 74.9 | 304 |

Cell and atoms:
```
Sn3Pt2
1.0
4.4141 0.0000 0.0000
-2.2070 3.8227 0.0000
0.0000 0.0000 13.2100
Sn Pt
6 4
Cartesian
0.0000 0.0000 3.3025
0.0000 0.0000 9.9075
0.0000 2.5485 0.9342
0.0000 2.5485 5.6708
2.2070 1.2742 7.5392
2.2070 1.2742 12.2758
0.0000 2.5485 8.4992
0.0000 2.5485 11.3158
2.2070 1.2742 1.8942
2.2070 1.2742 4.7108
```

# 4
# Sn4Pt
Computed PXRD pattern, CuKα. Input: DFT lattice parameters and positions (PBE).
Intensities are scaled so that the largest is 1000.

Peak list (8 most intense, 10° ≤ 2θ ≤ 90°, low angle first)
| Position (°2θ) | intensity |
| --- | --- |
| 15.3 | 467 |
| 30.2 | 811 |
| 31.6 | 620 |
| 34.4 | 1000 |
| 38.7 | 357 |
| 41.7 | 832 |
| 44.6 | 968 |
| 65.3 | 352 |

Cell and atoms:
```
Sn4Pt
1.0
3.2671 -5.7893 0.0000
3.2671 5.7893 0.0000
0.0000 0.0000 6.5190
Sn Pt
8 2
Cartesian
1.0865 1.4427 0.5435
2.1805 1.4427 3.8030
1.0865 -1.4427 3.8030
2.1805 -1.4427 0.5435
4.3536 1.4427 5.9755
5.4476 1.4427 2.7160
4.3536 -1.4427 2.7160
5.4476 -1.4427 5.9755
3.2671 2.8947 1.6297
3.2671 -2.8947 4.8892
```

# 5
# SrSnPt
Computed PXRD pattern, CuKα. Input: DFT lattice parameters and positions (PBE).
Intensities are scaled so that the largest is 1000.

Peak list (8 most intense, 10° ≤ 2θ ≤ 90°, low angle first)
| Position (°2θ) | intensity |
| --- | --- |
| 31.2 | 778 |
| 31.8 | 1000 |
| 36.6 | 578 |
| 37.7 | 631 |
| 38.3 | 771 |
| 45.1 | 284 |
| 45.8 | 307 |
| 53.6 | 393 |

Cell and atoms:
```
SrSnPt
1.0
7.7325 0.0000 0.0000
0.0000 4.7703 0.0000
0.0000 0.0000 8.1118
Sr Sn Pt
4 4 4
Cartesian
0.1442 1.1926 1.4801
3.7220 3.5777 5.5360
4.0105 1.1926 2.5758
7.5883 3.5777 6.6317
1.2559 1.1926 4.6641
2.6104 3.5777 0.6082
5.1221 1.1926 7.5035
6.4766 3.5777 3.4477
1.5609 3.5777 3.1938
2.3053 1.1926 7.2497
5.4272 3.5777 0.8621
6.1716 1.1926 4.9180
```

# 6
# TbSnPt2
Computed PXRD pattern, CuKα. Input: DFT lattice parameters and positions (PBE).
Intensities are scaled so that the largest is 1000.

Peak list (8 most intense, 10° ≤ 2θ ≤ 90°, low angle first)
| Position (°2θ) | intensity |
| --- | --- |
| 21.4 | 135 |
| 30.3 | 136 |
| 37.1 | 1000 |
| 39.0 | 761 |
| 43.2 | 130 |
| 54.9 | 286 |
| 66.9 | 183 |
| 68.1 | 303 |

Cell and atoms:
```
TbSnPt2
1.0
4.8451 0.0000 0.0000
-2.4225 4.1959 0.0000
0.0000 0.0000 8.3130
Tb Sn Pt
2 2 4
Cartesian
0.0000 0.0000 0.0000
0.0000 0.0000 4.1565
0.0000 2.7973 2.0783
2.4225 1.3986 6.2348
0.0000 2.7973 4.8851
0.0000 2.7973 7.5845
2.4225 1.3986 0.7285
2.4225 1.3986 3.4280
```

# 7
# TbSnPt2
Computed PXRD pattern, CuKα. Input: DFT lattice parameters and positions (PBE).
Intensities are scaled so that the largest is 1000.

Peak list (8 most intense, 10° ≤ 2θ ≤ 90°, low angle first)
| Position (°2θ) | intensity |
| --- | --- |
| 22.5 | 184 |
| 29.8 | 120 |
| 37.2 | 1000 |
| 39.5 | 861 |
| 55.4 | 321 |
| 65.5 | 135 |
| 70.1 | 318 |
| 71.6 | 153 |

Cell and atoms:
```
TbSnPt2
1.0
4.5627 0.0000 0.0000
-2.2814 3.9515 0.0000
0.0000 0.0000 9.1727
Tb Sn Pt
2 2 4
Cartesian
0.0000 2.6343 2.2932
2.2814 1.3172 6.8795
0.0000 0.0000 0.0000
0.0000 0.0000 4.5864
0.0000 2.6343 5.4187
0.0000 2.6343 8.3404
2.2814 1.3172 0.8323
2.2814 1.3172 3.7540
```

# 8
# TbSnPt
Computed PXRD pattern, CuKα. Input: DFT lattice parameters and positions (PBE).
Intensities are scaled so that the largest is 1000.

Peak list (8 most intense, 10° ≤ 2θ ≤ 90°, low angle first)
| Position (°2θ) | intensity |
| --- | --- |
| 32.0 | 459 |
| 33.2 | 352 |
| 33.4 | 1000 |
| 38.8 | 668 |
| 38.9 | 262 |
| 39.4 | 454 |
| 52.4 | 196 |
| 63.4 | 243 |

Cell and atoms:
```
TbSnPt
1.0
7.2506 0.0000 0.0000
0.0000 4.5788 0.0000
0.0000 0.0000 8.0708
Tb Sn Pt
4 4 4
Cartesian
0.0769 1.1447 1.5883
3.5484 3.4341 5.6237
3.7021 1.1447 2.4471
7.1737 3.4341 6.4825
1.3023 1.1447 4.7174
2.3229 3.4341 0.6819
4.9276 1.1447 7.3889
5.9482 3.4341 3.3535
1.5670 3.4341 3.3052
2.0583 1.1447 7.3406
5.1923 3.4341 0.7302
5.6836 1.1447 4.7656
```

# 9
# TbSnPt
Computed PXRD pattern, CuKα. Input: DFT lattice parameters and positions (PBE).
Intensities are scaled so that the largest is 1000.

Peak list (8 most intense, 10° ≤ 2θ ≤ 90°, low angle first)
| Position (°2θ) | intensity |
| --- | --- |
| 32.5 | 818 |
| 35.3 | 1000 |
| 36.4 | 333 |
| 41.5 | 477 |
| 42.9 | 398 |
| 44.9 | 281 |
| 62.8 | 285 |
| 66.5 | 349 |

Cell and atoms:
```
TbSnPt
1.0
7.5460 0.0000 0.0000
-3.7730 6.5350 0.0000
0.0000 0.0000 4.0371
Tb Sn Pt
3 3 3
Cartesian
-2.2408 3.8812 0.0000
1.5322 2.6538 0.0000
4.4817 0.0000 0.0000
-0.9704 1.6807 2.0185
1.9407 0.0000 2.0185
2.8026 4.8543 2.0185
0.0000 0.0000 0.0000
0.0000 4.3567 2.0185
3.7730 2.1783 2.0185
```

# 10
# ThSnPt
Computed PXRD pattern, CuKα. Input: DFT lattice parameters and positions (PBE).
Intensities are scaled so that the largest is 1000.

Peak list (8 most intense, 10° ≤ 2θ ≤ 90°, low angle first)
| Position (°2θ) | intensity |
| --- | --- |
| 22.6 | 387 |
| 26.1 | 101 |
| 37.3 | 1000 |
| 44.0 | 206 |
| 53.8 | 178 |
| 59.0 | 88 |
| 67.2 | 370 |
| 79.5 | 118 |

Cell and atoms:
```
ThSnPt
1.0
0.0000 3.4101 3.4101
3.4101 0.0000 3.4101
3.4101 3.4101 0.0000
Th Sn Pt
1 1 1
Cartesian
0.0000 0.0000 0.0000
3.4101 3.4101 3.4101
1.7051 1.7051 1.7051
```

# 11
# TmSnPt2
Computed PXRD pattern, CuKα. Input: DFT lattice parameters and positions (PBE).
Intensities are scaled so that the largest is 1000.

Peak list (8 most intense, 10° ≤ 2θ ≤ 90°, low angle first)
| Position (°2θ) | intensity |
| --- | --- |
| 21.0 | 147 |
| 30.4 | 173 |
| 38.0 | 1000 |
| 38.8 | 791 |
| 43.8 | 131 |
| 55.4 | 286 |
| 68.6 | 181 |
| 69.1 | 298 |

Cell and atoms:
```
TmSnPt2
1.0
4.7368 0.0000 0.0000
-2.3684 4.1022 0.0000
0.0000 0.0000 8.4561
Tm Sn Pt
2 2 4
Cartesian
0.0000 0.0000 0.0000
0.0000 0.0000 4.2280
0.0000 2.7348 2.1140
2.3684 1.3674 6.3421
0.0000 2.7348 4.9873
0.0000 2.7348 7.6968
2.3684 1.3674 0.7593
2.3684 1.3674 3.4688
```

# 12
# USnPt2
Computed PXRD pattern, CuKα. Input: DFT lattice parameters and positions (PBE).
Intensities are scaled so that the largest is 1000.

Peak list (8 most intense, 10° ≤ 2θ ≤ 90°, low angle first)
| Position (°2θ) | intensity |
| --- | --- |
| 25.7 | 253 |
| 29.1 | 909 |
| 34.0 | 776 |
| 40.0 | 585 |
| 43.1 | 1000 |
| 46.8 | 370 |
| 56.0 | 191 |
| 81.2 | 334 |

Cell and atoms:
```
USnPt2
1.0
4.2021 0.0000 0.0000
-2.1011 3.6392 0.0000
0.0000 0.0000 11.4799
U Sn Pt
2 2 4
Cartesian
0.0000 0.0000 0.0000
0.0000 0.0000 5.7399
0.0000 2.4261 2.8700
2.1011 1.2131 8.6099
0.0000 2.4261 7.1981
0.0000 2.4261 10.0217
2.1011 1.2131 1.4582
2.1011 1.2131 4.2818
```